(1)
Calculated XRD peak list of Li2FePCO7 for Cu Kα X-rays, from a structure optimized by DFT (GGA+U).

Peak list (10 most intense, 2θ = 5–70°, in order of falling intensity)
- 27.43 deg, intensity 100
- 10.66 deg, intensity 85
- 21.34 deg, intensity 68
- 19.70 deg, intensity 51
- 17.33 deg, intensity 37
- 26.54 deg, intensity 36
- 25.40 deg, intensity 28
- 40.96 deg, intensity 22
- 36.14 deg, intensity 21
- 56.60 deg, intensity 18

Structural model:
```
data_Li2FePCO7
_symmetry_space_group_name_H-M 'P 1 21/c 1'
_symmetry_Int_Tables_number 14
_cell_length_a 5.088
_cell_length_b 6.502
_cell_length_c 16.659
_cell_angle_alpha 90.00
_cell_angle_beta 95.07
_cell_angle_gamma 90.00
loop_
_symmetry_equiv_pos_as_xyz
'x,y,z'
'-x,-y,-z'
'-x,y+1/2,-z+1/2'
'x,-y+1/2,z+1/2'
loop_
_atom_site_label
_atom_site_type_symbol
_atom_site_fract_x
_atom_site_fract_y
_atom_site_fract_z
_atom_site_occupancy
Li1 Li 0.239 0.230 0.048 1
Li2 Li 0.247 0.532 0.861 1
Fe1 Fe 0.200 0.735 0.665 1
P1 P 0.276 0.244 0.710 1
C1 C 0.299 0.727 0.021 1
O1 O 0.052 0.746 0.038 1
O2 O 0.144 0.230 0.289 1
O3 O 0.169 0.058 0.658 1
O4 O 0.219 0.069 0.152 1
O5 O 0.369 0.712 0.950 1
O6 O 0.420 0.718 0.770 1
O7 O 0.473 0.728 0.084 1
```

=====

(2)
Calculated XRD peak list of CaMnO2 for Cu Kα X-rays, from a structure optimized by DFT (GGA+U).

Peak list (10 most intense, 2θ = 5–70°, in order of falling intensity)
- 38.62 deg, intensity 100
- 33.18 deg, intensity 38
- 55.50 deg, intensity 30
- 56.03 deg, intensity 29
- 33.58 deg, intensity 12
- 66.45 deg, intensity 10
- 69.69 deg, intensity 9
- 66.22 deg, intensity 5
- 66.92 deg, intensity 5
- 69.59 deg, intensity 5

Structural model:
```
data_CaMnO2
_symmetry_space_group_name_H-M 'C 1 2/c 1'
_symmetry_Int_Tables_number 15
_cell_length_a 10.847
_cell_length_b 3.309
_cell_length_c 5.739
_cell_angle_alpha 90.00
_cell_angle_beta 100.21
_cell_angle_gamma 90.00
loop_
_symmetry_equiv_pos_as_xyz
'x,y,z'
'-x,-y,-z'
'-x,y,-z+1/2'
'x,-y,z+1/2'
'x+1/2,y+1/2,z'
'-x+1/2,-y+1/2,-z'
'-x+1/2,y+1/2,-z+1/2'
'x+1/2,-y+1/2,z+1/2'
loop_
_atom_site_label
_atom_site_type_symbol
_atom_site_fract_x
_atom_site_fract_y
_atom_site_fract_z
_atom_site_occupancy
Ca1 Ca 0.250 0.250 0.000 1
Mn1 Mn 0.000 0.248 0.250 1
O1 O 0.119 0.250 0.623 1
```

=====

(3)
Calculated XRD peak list of Mg14FeSiO16 for Cu Kα X-rays, from a structure optimized by DFT (GGA+U).

Peak list (10 most intense, 2θ = 5–70°, in order of falling intensity)
- 42.30 deg, intensity 100
- 61.16 deg, intensity 57
- 42.03 deg, intensity 51
- 61.36 deg, intensity 28
- 36.34 deg, intensity 22
- 10.31 deg, intensity 6
- 31.37 deg, intensity 2
- 20.79 deg, intensity 2
- 43.57 deg, intensity 2
- 23.21 deg, intensity 2

Structural model:
```
data_Mg14FeSiO16
_symmetry_space_group_name_H-M 'P m m m'
_symmetry_Int_Tables_number 47
_cell_length_a 4.270
_cell_length_b 8.553
_cell_length_c 8.598
_cell_angle_alpha 90.00
_cell_angle_beta 90.00
_cell_angle_gamma 90.00
loop_
_symmetry_equiv_pos_as_xyz
'x,y,z'
'-x,-y,-z'
'-x,-y,z'
'x,y,-z'
'x,-y,-z'
'-x,y,z'
'-x,y,-z'
'x,-y,z'
loop_
_atom_site_label
_atom_site_type_symbol
_atom_site_fract_x
_atom_site_fract_y
_atom_site_fract_z
_atom_site_occupancy
Mg1 Mg 0.000 0.000 0.000 1
Mg2 Mg 0.000 0.247 0.249 1
Mg3 Mg 0.000 0.500 0.000 1
Mg4 Mg 0.500 0.000 0.250 1
Mg5 Mg 0.500 0.246 0.500 1
Mg6 Mg 0.500 0.249 0.000 1
Mg7 Mg 0.500 0.500 0.247 1
Fe1 Fe 0.000 0.000 0.500 1
Si1 Si 0.000 0.500 0.500 1
O1 O 0.000 0.000 0.239 1
O2 O 0.000 0.252 0.000 1
O3 O 0.000 0.273 0.500 1
O4 O 0.000 0.500 0.248 1
O5 O 0.500 0.000 0.000 1
O6 O 0.500 0.000 0.500 1
O7 O 0.500 0.250 0.252 1
O8 O 0.500 0.500 0.000 1
O9 O 0.500 0.500 0.500 1
```

=====

(4)
Calculated XRD peak list of MgTi2Ni2O6 for Cu Kα X-rays, from a structure optimized by DFT (GGA+U).

Peak list (10 most intense, 2θ = 5–70°, in order of falling intensity)
- 38.61 deg, intensity 100
- 31.09 deg, intensity 75
- 33.81 deg, intensity 49
- 34.10 deg, intensity 43
- 21.14 deg, intensity 39
- 51.84 deg, intensity 37
- 24.02 deg, intensity 30
- 35.37 deg, intensity 29
- 39.83 deg, intensity 26
- 48.74 deg, intensity 23

Structural model:
```
data_MgTi2Ni2O6
_symmetry_space_group_name_H-M 'P 1'
_symmetry_Int_Tables_number 1
_cell_length_a 5.283
_cell_length_b 5.349
_cell_length_c 5.396
_cell_angle_alpha 117.03
_cell_angle_beta 91.53
_cell_angle_gamma 114.03
loop_
_symmetry_equiv_pos_as_xyz
'x,y,z'
loop_
_atom_site_label
_atom_site_type_symbol
_atom_site_fract_x
_atom_site_fract_y
_atom_site_fract_z
_atom_site_occupancy
Mg1 Mg 0.000 0.000 0.000 1
Ti1 Ti 0.300 0.654 0.107 1
Ti2 Ti 0.705 0.496 0.456 1
Ni1 Ni 0.171 0.292 0.577 1
Ni2 Ni 0.647 0.164 0.816 1
O1 O 0.423 0.347 0.092 1
O2 O 0.429 0.072 0.428 1
O3 O 0.527 0.737 0.854 1
O4 O 0.875 0.930 0.587 1
O5 O 0.958 0.391 0.218 1
O6 O 0.970 0.569 0.827 1
```

=====

(5)
Calculated XRD peak list of Na4Li3Fe2O8 for Cu Kα X-rays, from a structure optimized by DFT (GGA+U).

Peak list (10 most intense, 2θ = 5–70°, in order of falling intensity)
- 24.12 deg, intensity 100
- 35.05 deg, intensity 55
- 22.02 deg, intensity 52
- 34.57 deg, intensity 51
- 35.99 deg, intensity 48
- 20.34 deg, intensity 46
- 20.93 deg, intensity 43
- 17.77 deg, intensity 36
- 17.09 deg, intensity 36
- 27.71 deg, intensity 30

Structural model:
```
data_Na4Li3Fe2O8
_symmetry_space_group_name_H-M 'P 1 c 1'
_symmetry_Int_Tables_number 7
_cell_length_a 6.445
_cell_length_b 8.074
_cell_length_c 10.304
_cell_angle_alpha 90.00
_cell_angle_beta 126.37
_cell_angle_gamma 90.00
loop_
_symmetry_equiv_pos_as_xyz
'x,y,z'
'x,-y,z+1/2'
loop_
_atom_site_label
_atom_site_type_symbol
_atom_site_fract_x
_atom_site_fract_y
_atom_site_fract_z
_atom_site_occupancy
Na1 Na 0.000 0.030 0.000 1
Na2 Na 0.448 0.255 0.741 1
Na3 Na 0.464 0.458 0.013 1
Na4 Na 0.969 0.256 0.743 1
Li1 Li 0.143 0.399 0.175 1
Li2 Li 0.279 0.047 0.335 1
Li3 Li 0.616 0.234 0.395 1
Fe1 Fe 0.593 0.037 0.123 1
Fe2 Fe 0.858 0.469 0.386 1
O1 O 0.006 0.463 0.286 1
O2 O 0.402 0.169 0.956 1
O3 O 0.462 0.053 0.236 1
O4 O 0.510 0.451 0.291 1
O5 O 0.517 0.169 0.538 1
O6 O 0.914 0.317 0.949 1
O7 O 0.924 0.035 0.218 1
O8 O 0.980 0.294 0.522 1
```

=====

(6)
Calculated XRD peak list of MgZn2AgWO6 for Cu Kα X-rays, from a structure optimized by DFT (GGA+U).

Peak list (10 most intense, 2θ = 5–70°, in order of falling intensity)
- 32.78 deg, intensity 100
- 34.89 deg, intensity 83
- 30.75 deg, intensity 63
- 31.31 deg, intensity 62
- 32.34 deg, intensity 57
- 20.22 deg, intensity 57
- 21.65 deg, intensity 52
- 37.71 deg, intensity 51
- 26.52 deg, intensity 44
- 30.33 deg, intensity 44

Structural model:
```
data_MgZn2AgWO6
_symmetry_space_group_name_H-M 'P 1'
_symmetry_Int_Tables_number 1
_cell_length_a 5.491
_cell_length_b 5.542
_cell_length_c 5.873
_cell_angle_alpha 72.31
_cell_angle_beta 62.20
_cell_angle_gamma 65.65
loop_
_symmetry_equiv_pos_as_xyz
'x,y,z'
loop_
_atom_site_label
_atom_site_type_symbol
_atom_site_fract_x
_atom_site_fract_y
_atom_site_fract_z
_atom_site_occupancy
Mg1 Mg 0.000 0.000 0.000 1
Zn1 Zn 0.535 0.654 0.191 1
Zn2 Zn 0.980 0.417 0.581 1
Ag1 Ag 0.304 0.327 0.075 1
W1 W 0.687 0.000 0.541 1
O1 O 0.102 0.730 0.311 1
O2 O 0.278 0.207 0.733 1
O3 O 0.592 0.937 0.280 1
O4 O 0.617 0.674 0.804 1
O5 O 0.809 0.300 0.246 1
O6 O 0.867 0.076 0.712 1
```